# V3Mo2
Simulated powder XRD pattern, λ = 1.5418 Å (Cu Kα). Input: a cell relaxed with PBE.

Top 10 peaks for 2θ from 10° to 90°, low angle first:
d (Å)	I/Imax	index
4.925	17	0 2 0
2.597	61	2 1 1
2.463	25	0 4 0
2.309	27	0 0 2
2.155	17	3 1 0
2.129	20	1 1 2
2.090	20	0 2 2
2.082	100	2 3 1
2.065	25	1 4 1
1.285	19	2 3 3

Atomic structure:
abc: 6.6263 9.8501 4.6171
angles: 90.00 90.00 90.00
Space group Pbcn (No. 60)
One atom of each set of equivalent atoms:
V (0.0000, 0.0125, 0.2500)
V (0.1463, 0.4329, 0.0050)
Mo (0.1322, 0.2672, 0.5069)



# VMo6
Simulated powder XRD pattern, λ = 1.5418 Å (Cu Kα). Input: a cell relaxed with PBE.

Top 8 peaks for 2θ from 10° to 90°, low angle first:
d (Å)	I/Imax	index
6.351	1	0 0 3
3.770	1	1 0 1
3.567	1	0 1 2
2.993	1	1 0 4
2.221	100	1 1 0
1.571	16	0 2 7
1.283	33	3 0 0
1.111	11	2 2 0

Atomic structure:
abc: 4.4416 4.4416 19.0542
angles: 90.00 90.00 120.00
Space group R-3m (No. 166, hexagonal axes)
One atom of each set of equivalent atoms:
V (0.0000, 0.0000, 0.0000)
Mo (0.0000, 0.0000, 0.1423)
Mo (0.0000, 0.0000, 0.2863)
Mo (0.0000, 0.0000, 0.4273)



# V2Mo13
Simulated powder XRD pattern, λ = 1.5418 Å (Cu Kα). Input: a cell relaxed with PBE.

Top 9 peaks for 2θ from 10° to 90°, low angle first:
d (Å)	I/Imax	index
6.415	1	0 1 0
4.199	1	1 0 1
2.223	100	2 2 1
1.573	5	-1 2 4
1.571	11	3 0 2
1.284	11	1 4 5
1.283	22	4 1 0
1.112	4	2 2 6
1.111	7	4 4 2

Atomic structure:
abc: 5.2074 7.0266 7.0386
angles: 66.42 82.25 82.25
Space group P-1 (No. 2)
One atom of each set of equivalent atoms:
V (0.1319, 0.4666, 0.3018)
Mo (0.0000, 0.0000, 0.5000)
Mo (0.0654, 0.7309, 0.9014)
Mo (0.1987, 0.2029, 0.6976)
Mo (0.2657, 0.9314, 0.1001)
Mo (0.3315, 0.6644, 0.5010)
Mo (0.3996, 0.4012, 0.8996)
Mo (0.4654, 0.1349, 0.3003)